No. 1
# BeI2
Simulated powder XRD pattern, Cu Kα X-rays. Input: a DFT-relaxed cell (GGA-PBE, Alexandria).
Kinematic intensities with the Lorentz-polarization factor, no thermal factor.

Principal peaks in the range 10 to 90 degrees two-theta, by angle:
d 4.520, intensity 23.4, (2 1 3)
d 3.496, intensity 100.0, (2 2 4)
d 3.278, intensity 22.5, (4 0 0)
d 3.237, intensity 14.6, (3 2 3)
d 3.145, intensity 25.2, (4 1 1)
d 2.765, intensity 12.2, (3 2 5)
d 2.661, intensity 19.3, (0 0 8)
d 2.198, intensity 11.6, (4 1 7)
d 2.066, intensity 14.5, (4 0 8)
d 2.038, intensity 11.1, (5 4 1)
d 1.899, intensity 10.1, (4 1 9)
d 1.657, intensity 11.2, (2 2 12)

Structure:
a = 13.1128 Å, b = 13.1128 Å, c = 21.2893 Å
α = 90.00°, β = 90.00°, γ = 90.00°
Space group I4_1/acd (No. 142, origin choice 2)
Symmetry-distinct sites (fractional):
1 Be 0.0773 0.1252 0.3119 [32 per cell]
2 I 0.0000 0.2500 0.0078 [16 per cell]
3 I 0.0468 0.0380 0.8759 [32 per cell]
4 I 0.1721 0.0000 0.2500 [16 per cell]

---

No. 2
# Pr8Dy4Ho
Simulated powder XRD pattern, Cu Kα X-rays. Input: a DFT-relaxed cell (GGA-PBE, Alexandria).
Kinematic intensities with the Lorentz-polarization factor, no thermal factor.

Principal peaks in the range 10 to 90 degrees two-theta, by angle:
d 3.058, intensity 100.0, (-1 1 3)
d 3.046, intensity 16.9, (2 0 -1)
d 2.855, intensity 35.9, (1 1 2)
d 2.829, intensity 25.9, (0 2 -2)
d 2.819, intensity 24.7, (1 1 -3)
d 2.764, intensity 42.4, (2 -2 0)
d 2.755, intensity 8.9, (0 0 4)
d 2.539, intensity 14.0, (0 2 2)
d 1.987, intensity 11.2, (3 -1 2)
d 1.974, intensity 14.1, (-3 1 3)
d 1.647, intensity 11.5, (-3 3 3)
d 1.540, intensity 9.5, (4 0 -1)

Structure:
a = 6.6559 Å, b = 6.6578 Å, c = 11.1526 Å
α = 94.97°, β = 94.80°, γ = 112.27°
Space group P1 (No. 1)
Symmetry-distinct sites (fractional):
1 Pr 0.0000 0.0000 0.0000 [1 per cell]
2 Pr 0.0051 0.4911 0.8452 [1 per cell]
3 Pr 0.3370 0.8217 0.4285 [1 per cell]
4 Pr 0.3510 0.3152 0.3317 [1 per cell]
5 Pr 0.4576 0.9401 0.8700 [1 per cell]
6 Pr 0.5141 0.4820 0.9989 [1 per cell]
7 Pr 0.8308 0.8360 0.3329 [1 per cell]
8 Pr 0.9131 0.3980 0.4487 [1 per cell]
9 Dy 0.0363 0.9392 0.6571 [1 per cell]
10 Dy 0.0412 0.5267 0.1503 [1 per cell]
11 Dy 0.4540 0.5198 0.6561 [1 per cell]
12 Dy 0.5472 0.0307 0.1595 [1 per cell]
13 Ho 0.6512 0.1349 0.6406 [1 per cell]

---

No. 3
# Zn7P6
Simulated powder XRD pattern, Cu Kα X-rays. Input: a DFT-relaxed cell (GGA-PBE, Alexandria).
Kinematic intensities with the Lorentz-polarization factor, no thermal factor.

Principal peaks in the range 10 to 90 degrees two-theta, by angle:
d 5.313, intensity 70.8, (1 0 1)
d 3.757, intensity 37.2, (0 0 6)
d 2.714, intensity 70.7, (0 2 1)
d 2.657, intensity 43.0, (2 0 2)
d 2.505, intensity 17.4, (0 0 9)
d 2.417, intensity 50.5, (1 1 6)
d 2.337, intensity 53.7, (2 0 5)
d 2.084, intensity 100.0, (0 2 7)
d 1.962, intensity 26.8, (2 0 8)
d 1.640, intensity 20.2, (3 0 6)
d 1.578, intensity 48.0, (2 2 0)
d 1.258, intensity 18.3, (4 0 7)

Structure:
a = 6.3128 Å, b = 6.3128 Å, c = 22.5420 Å
α = 90.00°, β = 90.00°, γ = 120.00°
Space group R-3m (No. 166, hexagonal axes)
Symmetry-distinct sites (fractional):
1 Zn 0.0000 0.0000 0.0000 [3 per cell]
2 Zn 0.0070 0.5035 0.4260 [18 per cell]
3 P 0.0000 0.0000 0.1553 [6 per cell]
4 P 0.0000 0.0000 0.3100 [6 per cell]
5 P 0.0000 0.0000 0.4027 [6 per cell]

---

No. 4
# RbBa2UO6
Simulated powder XRD pattern, Cu Kα X-rays. Input: a DFT-relaxed cell (GGA-PBE, Alexandria).
Kinematic intensities with the Lorentz-polarization factor, no thermal factor.

Principal peaks in the range 10 to 90 degrees two-theta, by angle:
d 5.537, intensity 51.2, (0 0 1)
d 3.379, intensity 99.9, (1 0 1)
d 3.361, intensity 100.0, (-1 1 1)
d 3.264, intensity 98.3, (1 1 -1)
d 3.248, intensity 76.3, (0 1 -2)
d 3.214, intensity 93.7, (1 -2 1)
d 3.160, intensity 83.4, (2 -1 0)
d 2.412, intensity 40.7, (0 2 0)
d 2.277, intensity 40.8, (2 0 -2)
d 2.254, intensity 43.7, (2 -2 2)
d 1.923, intensity 39.9, (1 -1 3)
d 1.858, intensity 36.4, (1 2 -3)

Structure:
a = 6.3218 Å, b = 6.4429 Å, c = 6.5071 Å
α = 117.24°, β = 90.53°, γ = 118.37°
Space group P-1 (No. 2)
Symmetry-distinct sites (fractional):
1 Rb 0.0000 0.0000 0.0000 [1 per cell]
2 Ba 0.2550 0.4950 0.7231 [2 per cell]
3 U 0.5000 0.0000 0.5000 [1 per cell]
4 O 0.1939 0.8337 0.6167 [2 per cell]
5 O 0.3256 0.6181 0.1802 [2 per cell]
6 O 0.3591 0.1597 0.3676 [2 per cell]

---

No. 5
# Tm5BeTe4
Simulated powder XRD pattern, Cu Kα X-rays. Input: a DFT-relaxed cell (GGA-PBE, Alexandria).
Kinematic intensities with the Lorentz-polarization factor, no thermal factor.

Principal peaks in the range 10 to 90 degrees two-theta, by angle:
d 3.477, intensity 22.0, (1 2 1)
d 3.018, intensity 100.0, (3 1 0)
d 2.996, intensity 53.2, (0 0 2)
d 2.810, intensity 12.5, (3 0 1)
d 2.421, intensity 18.0, (2 3 1)
d 2.134, intensity 29.9, (2 4 0)
d 2.126, intensity 74.8, (3 1 2)
d 1.738, intensity 31.7, (2 4 2)
d 1.518, intensity 11.8, (6 1 1)
d 1.348, intensity 10.5, (6 2 2)
d 1.342, intensity 16.9, (3 1 4)
d 1.231, intensity 11.8, (1 7 2)

Structure:
a = 9.5446 Å, b = 9.5446 Å, c = 5.9925 Å
α = 90.00°, β = 90.00°, γ = 90.00°
Space group I4/m (No. 87)
Symmetry-distinct sites (fractional):
1 Tm 0.0000 0.0000 0.0000 [2 per cell]
2 Tm 0.0936 0.7378 0.5000 [8 per cell]
3 Be 0.0000 0.0000 0.5000 [2 per cell]
4 Te 0.0873 0.6910 0.0000 [8 per cell]

---

No. 6
# Cs4PuPa3O12
Simulated powder XRD pattern, Cu Kα X-rays. Input: a DFT-relaxed cell (GGA-PBE, Alexandria).
Kinematic intensities with the Lorentz-polarization factor, no thermal factor.

Principal peaks in the range 10 to 90 degrees two-theta, by angle:
d 4.438, intensity 13.0, (2 0 0)
d 3.138, intensity 100.0, (2 2 0)
d 2.219, intensity 27.4, (4 0 0)
d 1.985, intensity 6.5, (4 2 0)
d 1.812, intensity 42.7, (4 2 2)
d 1.569, intensity 18.1, (4 4 0)
d 1.479, intensity 3.2, (6 0 0)
d 1.403, intensity 19.0, (6 2 0)
d 1.281, intensity 6.1, (4 4 4)
d 1.231, intensity 1.4, (6 4 0)
d 1.186, intensity 22.5, (6 4 2)
d 1.109, intensity 3.0, (8 0 0)

Structure:
a = 8.8751 Å, b = 8.8751 Å, c = 8.8751 Å
α = 90.00°, β = 90.00°, γ = 90.00°
Space group Im-3m (No. 229)
Symmetry-distinct sites (fractional):
1 Cs 0.2500 0.2500 0.2500 [8 per cell]
2 Pu 0.0000 0.0000 0.0000 [2 per cell]
3 Pa 0.0000 0.0000 0.5000 [6 per cell]
4 O 0.0000 0.0000 0.2483 [12 per cell]
5 O 0.0000 0.2500 0.5000 [12 per cell]